Record 1
The following is a computed PXRD pattern of K3Na4Au2. It was derived from DFT lattice parameters and positions (PBE), using a wavelength of 1.5418 Å.
Neutral-atom scattering factors, no anomalous dispersion.

Atomic structure:
```
K3Na4Au2
1.0
7.9003 -2.3817 0.0000
7.9003 2.3817 0.0000
-4.2273 0.0000 8.9535
K Na Au
3 4 2
Direct
0.0000 0.0000 0.0000
0.3634 0.3634 0.6203
0.6366 0.6366 0.3797
0.1172 0.1172 0.6854
0.3219 0.3219 0.9986
0.6781 0.6781 0.0014
0.8828 0.8828 0.3146
0.2391 0.2391 0.2304
0.7609 0.7609 0.7696
```

Main lines, in order of rising 2θ (2θ from 10° to 90°):
12.39°, d = 7.144 Å, rel. 100
18.35°, d = 4.834 Å, rel. 35
19.83°, d = 4.477 Å, rel. 24
20.79°, d = 4.273 Å, rel. 57
23.22°, d = 3.831 Å, rel. 23
25.29°, d = 3.522 Å, rel. 45
31.06°, d = 2.879 Å, rel. 39
33.57°, d = 2.669 Å, rel. 30
34.24°, d = 2.619 Å, rel. 43
37.77°, d = 2.382 Å, rel. 21

=====

Record 2
The following is a computed PXRD pattern of Y3HoTm7. It was derived from DFT lattice parameters and positions (PBE), using a wavelength of 1.5418 Å.
Neutral-atom scattering factors, no anomalous dispersion.

Atomic structure:
```
Y3HoTm7
1.0
6.9643 0.0000 0.0000
-3.4822 6.0313 0.0000
0.0000 0.0000 8.5458
Y Ho Tm
3 1 7
Direct
0.0002 0.5001 0.0000
0.4999 0.9998 0.0000
0.4999 0.5001 0.0000
0.6667 0.3333 0.6623
0.1678 0.3356 0.6627
0.1678 0.8322 0.6627
0.3333 0.6667 0.3370
0.3356 0.1678 0.3364
0.6644 0.8322 0.6627
0.8322 0.1678 0.3364
0.8322 0.6644 0.3364
```

Main lines, in order of rising 2θ (2θ from 10° to 90°):
10.35°, d = 8.546 Å, rel. 21
31.45°, d = 2.845 Å, rel. 100
36.47°, d = 2.464 Å, rel. 52
52.53°, d = 1.742 Å, rel. 35
62.51°, d = 1.486 Å, rel. 42
65.66°, d = 1.422 Å, rel. 9
85.93°, d = 1.131 Å, rel. 9
86.05°, d = 1.130 Å, rel. 9
88.74°, d = 1.102 Å, rel. 8
88.86°, d = 1.101 Å, rel. 9

=====

Record 3
The following is a computed PXRD pattern of Hf5ZrGa6. It was derived from DFT lattice parameters and positions (PBE), using a wavelength of 1.5418 Å.
Neutral-atom scattering factors, no anomalous dispersion.

Atomic structure:
```
Hf5ZrGa6
1.0
2.5445 -6.2153 0.0000
2.5445 6.2153 0.0000
-1.6277 0.0000 7.3882
Hf Zr Ga
5 1 6
Direct
0.0000 0.0000 0.0000
0.3303 0.6697 0.5000
0.3363 0.6637 0.0000
0.6637 0.3363 0.0000
0.6697 0.3303 0.5000
0.0000 0.0000 0.5000
0.1635 0.8288 0.7532
0.1713 0.8366 0.2468
0.4863 0.4863 0.2543
0.5137 0.5137 0.7457
0.8288 0.1635 0.7532
0.8366 0.1713 0.2468
```

Main lines, in order of rising 2θ (2θ from 10° to 90°):
24.09°, d = 3.694 Å, rel. 18
28.04°, d = 3.182 Å, rel. 25
34.57°, d = 2.594 Å, rel. 100
36.15°, d = 2.485 Å, rel. 44
39.85°, d = 2.262 Å, rel. 68
43.69°, d = 2.072 Å, rel. 26
49.34°, d = 1.847 Å, rel. 18
57.96°, d = 1.591 Å, rel. 22
60.39°, d = 1.533 Å, rel. 20
68.00°, d = 1.379 Å, rel. 14

=====

Record 4
The following is a computed PXRD pattern of PrTa2N4. It was derived from DFT lattice parameters and positions (PBE), using a wavelength of 1.5418 Å.
Neutral-atom scattering factors, no anomalous dispersion.

Atomic structure:
```
PrTa2N4
1.0
1.5971 -5.1760 0.0000
1.5971 5.1760 0.0000
0.0000 0.0000 10.5539
Pr Ta N
2 4 8
Direct
0.1167 0.8833 0.7500
0.8833 0.1167 0.2500
0.3709 0.6291 0.5655
0.3709 0.6291 0.9345
0.6291 0.3709 0.0655
0.6291 0.3709 0.4345
0.0000 0.0000 0.0000
0.0000 0.0000 0.5000
0.2644 0.7356 0.1073
0.2644 0.7356 0.3927
0.4303 0.5697 0.7500
0.5697 0.4303 0.2500
0.7356 0.2644 0.6073
0.7356 0.2644 0.8927
```

Main lines, in order of rising 2θ (2θ from 10° to 90°):
30.49°, d = 2.932 Å, rel. 33
30.73°, d = 2.910 Å, rel. 100
33.93°, d = 2.642 Å, rel. 47
34.66°, d = 2.588 Å, rel. 36
39.38°, d = 2.288 Å, rel. 27
42.18°, d = 2.142 Å, rel. 32
52.72°, d = 1.736 Å, rel. 24
58.88°, d = 1.569 Å, rel. 16
59.69°, d = 1.549 Å, rel. 17
66.82°, d = 1.400 Å, rel. 22